(1)
The following is a calculated X-ray powder pattern of Rb2Dy4Cu4Te9. It was derived from a DFT-relaxed cell (PBE, OQMD), using Cu Kα X-rays.
Neutral-atom scattering factors, no anomalous dispersion.

Cell and atoms:
```
Rb2Dy4Cu4Te9
1.0
7.7016 -2.1945 0.0000
7.7016 2.1945 0.0000
-5.5502 0.0000 16.7538
Rb Dy Cu Te
2 4 4 9
Cartesian
-0.9868 0.0000 4.5880
10.8398 0.0000 12.1658
2.9512 0.0000 1.6771
2.8680 0.0000 7.4155
6.9851 0.0000 9.3384
6.9019 0.0000 15.0767
-0.3187 0.0000 12.2916
6.3483 0.0000 0.3745
3.5048 0.0000 16.3793
10.1718 0.0000 4.4623
-2.7751 0.0000 8.3769
-3.0484 0.0000 15.4278
1.2637 0.0000 10.1079
3.8975 0.0000 4.5787
1.3028 0.0000 14.5623
8.5503 0.0000 2.1915
5.9556 0.0000 12.1751
8.5893 0.0000 6.6459
12.9015 0.0000 1.3260
```

Most intense lines, 2θ = 10–90°, low angle first:
2θ/deg  Rel. int.
12.11  66
25.52  47
26.72  74
27.17  100
27.34  57
28.65  50
28.97  76
31.46  46
38.99  43
41.13  86

(2)
The following is a calculated X-ray powder pattern of MgTcPO. It was derived from a DFT-relaxed cell (PBE, OQMD), using Cu Kα X-rays.
Neutral-atom scattering factors, no anomalous dispersion.

Cell and atoms:
```
MgTcPO
1.0
3.9820 0.0000 0.0000
0.0000 3.9820 0.0000
0.0000 0.0000 8.4222
Mg Tc P O
2 2 2 2
Cartesian
0.9955 0.9955 0.0986
2.9865 2.9865 8.3236
0.9955 2.9865 4.2111
2.9865 0.9955 4.2111
0.9955 0.9955 5.4581
2.9865 2.9865 2.9640
0.9955 2.9865 0.0000
2.9865 0.9955 0.0000
```

Most intense lines, 2θ = 10–90°, low angle first:
2θ/deg  Rel. int.
10.50  100
21.10  67
31.79  11
33.56  37
38.46  30
45.60  62
50.72  23
54.42  15
64.43  16
84.29  12

Please write out number 1 again, unchanged.
The following is a calculated X-ray powder pattern of Rb2Dy4Cu4Te9. It was derived from a DFT-relaxed cell (PBE, OQMD), using Cu Kα X-rays.
Neutral-atom scattering factors, no anomalous dispersion.

Cell and atoms:
```
Rb2Dy4Cu4Te9
1.0
7.7016 -2.1945 0.0000
7.7016 2.1945 0.0000
-5.5502 0.0000 16.7538
Rb Dy Cu Te
2 4 4 9
Cartesian
-0.9868 0.0000 4.5880
10.8398 0.0000 12.1658
2.9512 0.0000 1.6771
2.8680 0.0000 7.4155
6.9851 0.0000 9.3384
6.9019 0.0000 15.0767
-0.3187 0.0000 12.2916
6.3483 0.0000 0.3745
3.5048 0.0000 16.3793
10.1718 0.0000 4.4623
-2.7751 0.0000 8.3769
-3.0484 0.0000 15.4278
1.2637 0.0000 10.1079
3.8975 0.0000 4.5787
1.3028 0.0000 14.5623
8.5503 0.0000 2.1915
5.9556 0.0000 12.1751
8.5893 0.0000 6.6459
12.9015 0.0000 1.3260
```

Most intense lines, 2θ = 10–90°, low angle first:
2θ/deg  Rel. int.
12.11  66
25.52  47
26.72  74
27.17  100
27.34  57
28.65  50
28.97  76
31.46  46
38.99  43
41.13  86

> What is the formula in the second record?

MgTcPO